For LiPrSn2, the PBE geometry in the Materials Project gives the calculated PXRD pattern in this record (CuKα).
Intensities are scaled so that the largest is 100.

Structural model:
a b c (Å): 4.494 19.346 4.575
angles (deg): 90.00 90.00 90.00
Space group Cmcm (No. 63)
Asymmetric unit:
Li  0.000  0.174  0.250
Pr  0.000  0.394  0.250
Sn  0.000  0.043  0.250
Sn  0.000  0.249  0.750

Principal peaks in the range 2θ = 5–70°, sorted by position:
two_theta, intensity, index
24.14, 15, 1 3 0
27.67, 14, 0 6 0
30.49, 13, 1 5 0
31.16, 100, 1 3 1
34.02, 18, 0 6 1
39.39, 18, 0 0 2
40.13, 17, 2 0 0
57.49, 12, 2 0 2
66.33, 12, 1 3 3
67.37, 11, 3 3 1